NaPm2WO6: theoretical X-ray diffraction stick pattern (λ = 1.5418 Å (Cu Kα)), based on the GGA+U geometry in Alexandria.
Kinematic intensities with the Lorentz-polarization factor, no thermal factor.

Lattice parameters (Å, degrees): 5.7743 5.8071 5.9864 91.24 117.85 119.70
Fractional coordinates of all 10 atoms:
Na: 0.0000 0.0000 0.0000
Pm: 0.5403 0.2693 0.8180
Pm: 0.5611 0.7856 0.3322
W: 0.9738 0.4854 0.4557
O: 0.0655 0.3920 0.1985
O: 0.0690 0.2321 0.6590
O: 0.4352 0.8341 0.6600
O: 0.5193 0.1290 0.1848
O: 0.8131 0.6775 0.1956
O: 0.8327 0.5878 0.6542

Principal peaks in the range 2θ from 10° to 90°, by intensity:
(1 -2 0), 30.77 deg, I = 100
(0 1 1), 29.89 deg, I = 95
(1 -1 1), 29.45 deg, I = 50
(-2 1 1), 30.98 deg, I = 49
(1 -1 0), 18.59 deg, I = 43
(0 0 1), 17.75 deg, I = 29